(1)
This entry pairs a crystal structure of Cs2BCl6 with its computed X-ray powder pattern. Radiation: a wavelength of 1.5418 Å. Structure: a crystal structure in Alexandria, relaxed with GGA-PBE.

Largest 8 diffraction maxima, in order of rising 2θ, 5 to 70 degrees two-theta:
- 2θ = 17.01°, I 38
- 2θ = 24.15°, I 63
- 2θ = 29.69°, I 100
- 2θ = 34.36°, I 34
- 2θ = 34.54°, I 17
- 2θ = 38.59°, I 23
- 2θ = 49.51°, I 19
- 2θ = 58.69°, I 19

Cell and atoms:
```
data_Cs2BCl6
_space_group_name_H-M_alt 'P 1'
_space_group_IT_number 1
_space_group_name_Hall 'P 1'
_cell_length_a 7.3637
_cell_length_b 7.3637
_cell_length_c 7.3637
_cell_angle_alpha 119.84
_cell_angle_beta 119.84
_cell_angle_gamma 90.28
loop_
_atom_site_label
_atom_site_fract_x
_atom_site_fract_y
_atom_site_fract_z
Cs1 0.2500 0.7500 0.5000
Cs2 0.7500 0.2500 0.5000
B1 0.0000 0.0000 0.0000
Cl1 0.2048 0.2048 0.0000
Cl2 0.2047 0.2047 0.4095
Cl3 0.2047 0.7953 0.0000
Cl4 0.7953 0.2047 0.0000
Cl5 0.7952 0.7952 0.0000
Cl6 0.7953 0.7953 0.5905
```

(2)
This entry pairs a crystal structure of Mo2Ir2Ru with its computed X-ray powder pattern. Radiation: a wavelength of 1.5418 Å. Structure: a crystal structure in Alexandria, relaxed with GGA-PBE.

Largest 8 diffraction maxima, in order of rising 2θ, 5 to 70 degrees two-theta:
- 2θ = 20.29°, I 15
- 2θ = 39.90°, I 99
- 2θ = 40.07°, I 100
- 2θ = 46.14°, I 32
- 2θ = 46.64°, I 33
- 2θ = 46.75°, I 31
- 2θ = 67.70°, I 21
- 2θ = 68.17°, I 21

Cell and atoms:
```
data_Mo2Ir2Ru
_space_group_name_H-M_alt 'P 1'
_space_group_IT_number 1
_space_group_name_Hall 'P 1'
_cell_length_a 8.7331
_cell_length_b 3.8950
_cell_length_c 6.1415
_cell_angle_alpha 90.00
_cell_angle_beta 134.53
_cell_angle_gamma 90.00
loop_
_atom_site_label
_atom_site_fract_x
_atom_site_fract_y
_atom_site_fract_z
Mo1 0.0897 0.0000 0.2946
Mo2 0.4103 0.5000 0.7054
Mo3 0.5897 0.5000 0.2946
Mo4 0.9103 0.0000 0.7054
Ir1 0.1989 0.5000 0.1012
Ir2 0.3011 0.0000 0.8988
Ir3 0.6989 0.0000 0.1012
Ir4 0.8011 0.5000 0.8988
Ru1 0.0000 0.5000 0.5000
Ru2 0.5000 0.0000 0.5000
```